Record 1
The following is a calculated X-ray powder pattern of Na4Ce2Si12O33. It was derived from a crystal structure in the Materials Project, relaxed with PBE, using a wavelength of 1.5418 Å.

Peak list (12 most intense, 2θ from 10° to 90°, by intensity)
Position (°2θ)  I_rel  hkl
26.42  100  0 4 1
11.77  85  1 0 0
16.52  61  1 2 0
27.70  61  0 2 2
13.73  55  0 1 1
17.02  43  0 2 1
11.55  34  0 2 0
44.77  30  2 6 1
29.03  29  1 4 1
27.46  28  2 1 1
18.12  26  1 1 1
12.45  25  0 0 1

Atomic structure:
Lattice parameters (Å, degrees): 7.519 15.317 7.110 90.00 90.00 90.00
Space group Pmm2 (No. 25)
Symmetry-distinct sites (fractional):
Na 0.000 0.239 0.000 (multiplicity 2)
Na 0.271 0.500 0.865 (multiplicity 2)
Ce 0.500 0.253 0.991 (multiplicity 2)
Si 0.204 0.400 0.283 (multiplicity 4)
Si 0.209 0.100 0.740 (multiplicity 4)
Si 0.500 0.158 0.477 (multiplicity 2)
Si 0.500 0.357 0.586 (multiplicity 2)
O 0.000 0.122 0.694 (multiplicity 2)
O 0.000 0.383 0.912 (multiplicity 2)
O 0.000 0.385 0.356 (multiplicity 2)
O 0.224 0.000 0.821 (multiplicity 2)
O 0.228 0.500 0.202 (multiplicity 2)
O 0.257 0.332 0.117 (multiplicity 4)
O 0.277 0.170 0.894 (multiplicity 4)
O 0.320 0.107 0.543 (multiplicity 4)
O 0.325 0.391 0.472 (multiplicity 4)
O 0.500 0.000 0.175 (multiplicity 1)
O 0.500 0.182 0.257 (multiplicity 2)
O 0.500 0.250 0.602 (multiplicity 2)
O 0.500 0.390 0.802 (multiplicity 2)

Record 2
The following is a calculated X-ray powder pattern of Na3Ce4Ti2Si2O24. It was derived from a crystal structure in the Materials Project, relaxed with PBE, using a wavelength of 1.5418 Å.

Peak list (12 most intense, 2θ from 10° to 90°, by intensity)
Position (°2θ)  I_rel  hkl
13.19  100  0 0 2
26.06  34  1 2 1
25.96  27  1 -1 0
29.63  25  1 2 3
21.99  24  1 0 2
38.26  24  0 3 1
28.98  23  1 2 -1
29.27  23  1 -1 2
26.55  22  0 0 4
35.93  20  2 1 1
32.53  19  1 2 -2
29.17  19  -1 1 2

Atomic structure:
Lattice parameters (Å, degrees): 5.000 7.480 13.774 78.47 80.85 70.68
Space group P1 (No. 1)
Symmetry-distinct sites (fractional):
Na 0.000 0.000 0.000 (multiplicity 1)
Na 0.303 0.261 0.175 (multiplicity 1)
Na 0.657 0.116 0.590 (multiplicity 1)
Ce 0.496 0.353 0.816 (multiplicity 1)
Ce 0.616 0.459 0.340 (multiplicity 1)
Ce 0.815 0.724 0.800 (multiplicity 1)
Ce 0.829 0.889 0.359 (multiplicity 1)
Ti 0.363 0.709 0.582 (multiplicity 1)
Ti 0.972 0.490 0.585 (multiplicity 1)
Si 0.089 0.055 0.739 (multiplicity 1)
Si 0.248 0.145 0.441 (multiplicity 1)
O 0.075 0.893 0.674 (multiplicity 1)
O 0.078 0.711 0.503 (multiplicity 1)
O 0.088 0.991 0.202 (multiplicity 1)
O 0.094 0.559 0.312 (multiplicity 1)
O 0.240 0.574 0.221 (multiplicity 1)
O 0.242 0.504 0.670 (multiplicity 1)
O 0.244 0.315 0.501 (multiplicity 1)
O 0.299 0.625 0.848 (multiplicity 1)
O 0.314 0.182 0.968 (multiplicity 1)
O 0.410 0.047 0.753 (multiplicity 1)
O 0.447 0.943 0.502 (multiplicity 1)
O 0.450 0.172 0.336 (multiplicity 1)
O 0.496 0.247 0.001 (multiplicity 1)
O 0.543 0.771 0.324 (multiplicity 1)
O 0.583 0.740 0.009 (multiplicity 1)
O 0.664 0.539 0.507 (multiplicity 1)
O 0.668 0.658 0.667 (multiplicity 1)
O 0.808 0.386 0.214 (multiplicity 1)
O 0.825 0.664 0.038 (multiplicity 1)
O 0.855 0.975 0.174 (multiplicity 1)
O 0.885 0.020 0.843 (multiplicity 1)
O 0.887 0.440 0.849 (multiplicity 1)
O 0.894 0.263 0.680 (multiplicity 1)
O 0.933 0.144 0.426 (multiplicity 1)

Record 3
The following is a calculated X-ray powder pattern of NaCeTi4O12. It was derived from a crystal structure in the Materials Project, relaxed with PBE, using a wavelength of 1.5418 Å.

Peak list (12 most intense, 2θ from 10° to 90°, by intensity)
Position (°2θ)  I_rel  hkl
20.00  100  1 1 1
32.89  42  2 2 0
33.18  40  0 2 2
16.41  39  0 1 1
11.35  37  1 0 0
32.76  36  2 0 2
47.44  21  0 0 4
46.58  20  4 0 0
59.17  19  2 4 2
58.38  19  4 2 2
47.81  18  0 4 0
28.23  18  2 1 1

Atomic structure:
Lattice parameters (Å, degrees): 7.799 7.609 7.665 90.00 90.00 90.00
Space group Amm2 (No. 38)
Symmetry-distinct sites (fractional):
Na 0.000 0.000 0.000 (multiplicity 2)
Ce 0.500 0.000 0.535 (multiplicity 2)
Ti 0.235 0.241 0.264 (multiplicity 8)
O 0.000 0.213 0.778 (multiplicity 4)
O 0.213 0.000 0.219 (multiplicity 4)
O 0.277 0.210 0.513 (multiplicity 8)
O 0.302 0.000 0.772 (multiplicity 4)
O 0.500 0.199 0.275 (multiplicity 4)

Record 4
The following is a calculated X-ray powder pattern of NaCeP2Se6. It was derived from a crystal structure in the Materials Project, relaxed with PBE, using a wavelength of 1.5418 Å.

Peak list (12 most intense, 2θ from 10° to 90°, by intensity)
Position (°2θ)  I_rel  hkl
29.11  100  2 2 -2
31.68  90  4 1 -2
30.48  85  1 1 3
36.04  50  4 0 -4
32.61  46  0 0 4
37.09  42  1 3 1
35.52  39  3 2 -3
29.79  37  3 1 1
13.93  34  0 1 1
34.61  28  0 1 4
33.40  28  4 1 0
28.74  24  2 1 2

Atomic structure:
Lattice parameters (Å, degrees): 12.289 7.790 11.818 90.00 111.56 90.00
Space group P2_1/c (No. 14)
Symmetry-distinct sites (fractional):
Na 0.141 0.108 0.377 (multiplicity 4)
Ce 0.343 0.607 0.589 (multiplicity 4)
P 0.195 0.613 0.249 (multiplicity 4)
P 0.320 0.099 0.748 (multiplicity 4)
Se 0.089 0.504 0.345 (multiplicity 4)
Se 0.116 0.704 0.059 (multiplicity 4)
Se 0.207 0.206 0.126 (multiplicity 4)
Se 0.311 0.680 0.855 (multiplicity 4)
Se 0.408 0.193 0.937 (multiplicity 4)
Se 0.449 0.528 0.183 (multiplicity 4)

Record 5
The following is a calculated X-ray powder pattern of NaCe8Se12. It was derived from a crystal structure in the Materials Project, relaxed with PBE, using a wavelength of 1.5418 Å.

Peak list (12 most intense, 2θ from 10° to 90°, by intensity)
Position (°2θ)  I_rel  hkl
31.64  100  3 1 0
37.63  67  2 1 9
24.38  20  1 1 6
64.25  20  6 1 3
45.33  15  4 0 6
47.70  15  3 2 9
49.96  12  4 2 6
52.18  11  4 3 3
64.08  10  1 1 18
67.95  9  5 1 12
78.70  8  7 2 3
52.10  7  3 1 12

Atomic structure:
Lattice parameters (Å, degrees): 8.933 8.933 26.890 90.00 90.00 90.00
Space group I-42d (No. 122)
Symmetry-distinct sites (fractional):
Na 0.000 0.000 0.000 (multiplicity 4)
Ce 0.000 0.000 0.333 (multiplicity 8)
Ce 0.121 0.750 0.125 (multiplicity 8)
Ce 0.129 0.748 0.460 (multiplicity 16)
Se 0.075 0.675 0.683 (multiplicity 16)
Se 0.075 0.680 0.353 (multiplicity 16)
Se 0.078 0.673 0.016 (multiplicity 16)

Record 6
The following is a calculated X-ray powder pattern of NaCeTl2. It was derived from a crystal structure in the Materials Project, relaxed with PBE, using a wavelength of 1.5418 Å.

Peak list (12 most intense, 2θ from 10° to 90°, by intensity)
Position (°2θ)  I_rel  hkl
32.97  100  2 2 0
58.88  39  4 2 2
23.15  21  2 0 0
47.32  18  4 0 0
78.76  17  6 2 0
69.15  12  4 4 0
20.01  10  1 1 1
53.31  9  4 2 0
40.67  7  2 2 2
38.87  5  3 1 1
74.02  5  6 0 0
88.06  4  4 4 4

Atomic structure:
Lattice parameters (Å, degrees): 7.684 7.684 7.684 90.00 90.00 90.00
Space group Fm-3m (No. 225)
Symmetry-distinct sites (fractional):
Na 0.000 0.000 0.000 (multiplicity 4)
Ce 0.000 0.000 0.500 (multiplicity 4)
Tl 0.250 0.250 0.250 (multiplicity 8)

Record 7
The following is a calculated X-ray powder pattern of CeNbO4. It was derived from a crystal structure in the Materials Project, relaxed with PBE, using a wavelength of 1.5418 Å.

Peak list (12 most intense, 2θ from 10° to 90°, by intensity)
Position (°2θ)  I_rel  hkl
27.35  100  0 2 1
29.41  81  2 2 -1
45.88  26  2 4 0
47.44  25  2 4 -2
32.61  22  2 0 0
31.37  20  0 4 0
45.66  17  0 0 2
53.85  17  2 2 1
34.66  15  2 0 -2
56.61  12  2 2 -3
50.89  12  4 0 -2
56.45  12  0 4 2

Atomic structure:
Lattice parameters (Å, degrees): 7.189 11.406 5.203 90.00 130.20 90.00
Space group C2/c (No. 15)
Symmetry-distinct sites (fractional):
Ce 0.000 0.131 0.250 (multiplicity 4)
Nb 0.000 0.401 0.750 (multiplicity 4)
O 0.147 0.293 0.651 (multiplicity 8)
O 0.241 0.469 0.205 (multiplicity 8)

Record 8
The following is a calculated X-ray powder pattern of CeNbO2. It was derived from a crystal structure in the Materials Project, relaxed with PBE, using a wavelength of 1.5418 Å.

Peak list (12 most intense, 2θ from 10° to 90°, by intensity)
Position (°2θ)  I_rel  hkl
32.33  100  2 0 2
40.74  44  2 2 0
30.18  41  0 0 4
51.53  35  2 2 4
54.98  30  2 0 6
68.88  24  4 2 2
84.88  17  4 2 6
67.68  15  4 0 4
58.98  14  4 0 0
88.20  13  2 0 10
77.55  8  2 2 8
16.01  7  1 0 1

Atomic structure:
Lattice parameters (Å, degrees): 6.264 6.264 11.846 90.00 90.00 90.00
Space group I4_1/amd (No. 141, origin choice 2)
Symmetry-distinct sites (fractional):
Ce 0.000 0.000 0.000 (multiplicity 8)
Nb 0.000 0.000 0.500 (multiplicity 8)
O 0.000 0.028 0.197 (multiplicity 16)

Record 9
The following is a calculated X-ray powder pattern of CeNbO4. It was derived from a crystal structure in the Materials Project, relaxed with PBE, using a wavelength of 1.5418 Å.

Peak list (12 most intense, 2θ from 10° to 90°, by intensity)
Position (°2θ)  I_rel  hkl
28.02  100  1 1 2
46.04  31  2 0 4
56.19  28  3 1 2
33.19  20  2 0 0
53.32  16  1 1 6
47.64  14  2 2 0
30.99  13  0 0 4
74.28  12  1 3 6
57.93  11  2 2 4
87.62  8  2 4 4
74.58  7  2 0 8
76.69  6  3 3 2

Atomic structure:
Lattice parameters (Å, degrees): 5.399 5.399 11.543 90.00 90.00 90.00
Space group I4_1/a (No. 88, origin choice 2)
Symmetry-distinct sites (fractional):
Ce 0.000 0.250 0.125 (multiplicity 4)
Nb 0.000 0.250 0.625 (multiplicity 4)
O 0.166 0.001 0.712 (multiplicity 16)

Record 10
The following is a calculated X-ray powder pattern of Ce3NbSb5. It was derived from a crystal structure in the Materials Project, relaxed with PBE, using a wavelength of 1.5418 Å.

Peak list (12 most intense, 2θ from 10° to 90°, by intensity)
Position (°2θ)  I_rel  hkl
34.61  100  1 1 2
33.12  87  3 0 0
32.55  71  2 1 1
48.66  28  2 2 2
69.74  20  3 0 4
53.32  17  2 1 3
42.73  16  3 1 1
60.13  15  4 1 2
51.22  13  3 2 1
28.70  12  0 0 2
65.82  11  5 1 1
62.37  11  4 2 1

Atomic structure:
Lattice parameters (Å, degrees): 9.3696 9.3696 6.2220 90.00 90.00 120.00
Space group P6_3/mcm (No. 193)
Symmetry-distinct sites (fractional):
Ce 0.0000 0.3801 0.2500 (multiplicity 6)
Nb 0.0000 0.0000 0.0000 (multiplicity 2)
Sb 0.0000 0.2632 0.7500 (multiplicity 6)
Sb 0.3333 0.6667 0.0000 (multiplicity 4)